Computed PXRD pattern
Compound: Mg10FeO11
Radiation: Cu Kα (weighted mean of Kα1 and Kα2)
Structure: a DFT-relaxed cell (PBE+U, Alexandria)
Peak positions follow from Bragg's law for the DFT cell and can differ from measured ones.

Atomic structure:
Lattice parameters (Å, degrees): 5.2184 6.7599 6.7645 107.47 105.02 97.70
Element x y z (fractional)
1 Mg 0.0469 0.4088 0.1840
2 Mg 0.1367 0.2265 0.5436
3 Mg 0.2268 0.0459 0.9092
4 Mg 0.3206 0.8637 0.2728
5 Mg 0.4088 0.6821 0.6385
6 Mg 0.5912 0.3179 0.3615
7 Mg 0.6794 0.1363 0.7272
8 Mg 0.7732 0.9541 0.0908
9 Mg 0.8633 0.7735 0.4564
10 Mg 0.9531 0.5912 0.8160
11 Fe 0.5000 0.5000 0.0000
12 O 0.0000 0.5000 0.5000
13 O 0.0893 0.3184 0.8634
14 O 0.1824 0.1364 0.2267
15 O 0.2716 0.9560 0.5910
16 O 0.3590 0.7785 0.9531
17 O 0.4531 0.5938 0.3257
18 O 0.5469 0.4062 0.6743
19 O 0.6410 0.2215 0.0469
20 O 0.7284 0.0440 0.4090
21 O 0.8176 0.8636 0.7733
22 O 0.9107 0.6816 0.1366

Main lines, most intense first (10° ≤ 2θ ≤ 90°):
Position (°2θ)	I/Imax
42.2	100.0
61.5	55.9
42.5	49.2
61.3	28.2
77.4	25.3
36.5	23.4
73.4	9.3
73.9	4.6
14.1	3.3
14.5	3.1
16.3	2.2
18.1	2.1